Record 1
This entry pairs a crystal structure of AcDy7Er4 with its calculated powder diffractogram. Radiation: Cu Ka. Structure: a PBE-relaxed structure.

Atomic structure:
a = 6.2135 Å, b = 7.1937 Å, c = 8.8590 Å
α = 89.97°, β = 76.42°, γ = 89.99°
Space group P-1 (No. 2)
Asymmetric unit:
1 Ac 0.0000 0.0000 0.0000 x1
2 Dy 0.0000 0.5000 0.0000 x1
3 Dy 0.2246 0.0003 0.3388 x2
4 Dy 0.2805 0.7457 0.6621 x2
5 Dy 0.4998 0.2554 0.0000 x2
6 Er 0.2200 0.5003 0.3354 x2
7 Er 0.2798 0.2543 0.6626 x2

Top 6 peaks for 2θ from 15° to 90°, by intensity:
31.9°, intensity 100
33.6°, intensity 94
31.2°, intensity 51
28.9°, intensity 41
60.8°, intensity 31
50.9°, intensity 26

=====

Record 2
This entry pairs a crystal structure of AcDy12Er7 with its calculated powder diffractogram. Radiation: Cu Ka. Structure: a PBE-relaxed structure.

Atomic structure:
a = 12.0197 Å, b = 12.0197 Å, c = 15.6879 Å
α = 90.00°, β = 90.00°, γ = 120.00°
Space group R-3 (No. 148, hexagonal axes)
Asymmetric unit:
1 Ac 0.0000 0.0000 0.0000 x3
2 Dy 0.0090 0.4404 0.7168 x18
3 Dy 0.0517 0.5893 0.0842 x18
4 Er 0.0000 0.0000 0.5000 x3
5 Er 0.0482 0.1891 0.7966 x18

Top 6 peaks for 2θ from 15° to 90°, by intensity:
31.5°, intensity 100
33.1°, intensity 58
32.2°, intensity 48
29.7°, intensity 39
30.9°, intensity 27
55.1°, intensity 26

=====

Record 3
This entry pairs a crystal structure of AcDy3Er8 with its calculated powder diffractogram. Radiation: Cu Ka. Structure: a PBE-relaxed structure.

Atomic structure:
a = 6.3055 Å, b = 11.3632 Å, c = 11.5316 Å
α = 90.00°, β = 90.00°, γ = 90.00°
Space group Immm (No. 71)
Asymmetric unit:
1 Ac 0.0000 0.0000 0.0000 x2
2 Dy 0.0000 0.2357 0.5000 x4
3 Dy 0.0000 0.5000 0.0000 x2
4 Er 0.0000 0.2520 0.1743 x8
5 Er 0.2442 0.0000 0.2639 x8

Top 6 peaks for 2θ from 15° to 90°, by intensity:
31.5°, intensity 100
36.1°, intensity 30
32.5°, intensity 26
56.1°, intensity 25
65.7°, intensity 19
52.1°, intensity 15

=====

Record 4
This entry pairs a crystal structure of AcDy12Er5 with its calculated powder diffractogram. Radiation: Cu Ka. Structure: a PBE-relaxed structure.

Atomic structure:
a = 11.3025 Å, b = 17.2295 Å, c = 5.9378 Å
α = 90.00°, β = 90.44°, γ = 90.00°
Space group C2/m (No. 12)
Asymmetric unit:
1 Ac 0.0000 0.0000 0.0000 x2
2 Dy 0.1606 0.5000 0.9620 x4
3 Dy 0.1710 0.3318 0.5521 x8
4 Dy 0.1834 0.1673 0.9439 x8
5 Dy 0.1836 0.0000 0.5368 x4
6 Er 0.0000 0.1656 0.5000 x4
7 Er 0.0000 0.3250 0.0000 x4
8 Er 0.0000 0.5000 0.5000 x2

Top 6 peaks for 2θ from 15° to 90°, by intensity:
32.3°, intensity 100
32.1°, intensity 99
31.1°, intensity 59
30.1°, intensity 52
43.9°, intensity 36
56.1°, intensity 20

=====

Question: Which formula does entry 2 have?
Answer: AcDy12Er7

=====

Please write out number 1 again, unchanged.
This entry pairs a crystal structure of AcDy7Er4 with its calculated powder diffractogram. Radiation: Cu Ka. Structure: a PBE-relaxed structure.

Atomic structure:
a = 6.2135 Å, b = 7.1937 Å, c = 8.8590 Å
α = 89.97°, β = 76.42°, γ = 89.99°
Space group P-1 (No. 2)
Asymmetric unit:
1 Ac 0.0000 0.0000 0.0000 x1
2 Dy 0.0000 0.5000 0.0000 x1
3 Dy 0.2246 0.0003 0.3388 x2
4 Dy 0.2805 0.7457 0.6621 x2
5 Dy 0.4998 0.2554 0.0000 x2
6 Er 0.2200 0.5003 0.3354 x2
7 Er 0.2798 0.2543 0.6626 x2

Top 6 peaks for 2θ from 15° to 90°, by intensity:
31.9°, intensity 100
33.6°, intensity 94
31.2°, intensity 51
28.9°, intensity 41
60.8°, intensity 31
50.9°, intensity 26